Simulated powder XRD pattern
Compound: Mg6ZrFe
Radiation: Cu Ka
Structure: a crystal structure in the Materials Project, relaxed with GGA-PBE
Lines closer than 0.1° are merged.

Atomic structure:
Unit cell a=4.932 b=6.318 c=6.318 alpha=54.59 beta=90.00 gamma=90.00
Positions (direct):
Mg (0.000, 0.000, 0.000)
Mg (0.000, 0.010, 0.497)
Mg (0.000, 0.478, 0.478)
Mg (0.000, 0.497, 0.010)
Mg (0.500, 0.346, 0.848)
Mg (0.500, 0.848, 0.346)
Zr (0.500, 0.848, 0.848)
Fe (0.500, 0.338, 0.338)

Principal peaks in the range 5 to 70 degrees two-theta, in order of rising 2θ:
2θ 15.8, intensity 47
2θ 18.0, intensity 30
2θ 24.0, intensity 24
2θ 34.8, intensity 42
2θ 36.4, intensity 46
2θ 36.8, intensity 77
2θ 39.5, intensity 100
2θ 51.3, intensity 27
2θ 58.7, intensity 18
2θ 67.6, intensity 19



Simulated powder XRD pattern
Compound: Mg14ZrFe
Radiation: Cu Ka
Structure: a crystal structure in the Materials Project, relaxed with GGA-PBE
Lines closer than 0.1° are merged.

Atomic structure:
Unit cell a=6.272 b=6.272 c=10.024 alpha=90.00 beta=90.00 gamma=120.00
Positions (direct):
Mg (0.000, 0.000, 0.240)
Mg (0.000, 0.000, 0.760)
Mg (0.017, 0.508, 0.264)
Mg (0.017, 0.508, 0.736)
Mg (0.328, 0.164, 0.500)
Mg (0.344, 0.172, 0.000)
Mg (0.492, 0.508, 0.264)
Mg (0.492, 0.508, 0.736)
Mg (0.492, 0.983, 0.264)
Mg (0.492, 0.983, 0.736)
Mg (0.828, 0.172, 0.000)
Mg (0.828, 0.656, 0.000)
Mg (0.836, 0.164, 0.500)
Mg (0.836, 0.672, 0.500)
Zr (0.333, 0.667, 0.000)
Fe (0.333, 0.667, 0.500)

Principal peaks in the range 5 to 70 degrees two-theta, in order of rising 2θ:
2θ 16.3, intensity 26
2θ 24.2, intensity 14
2θ 33.0, intensity 27
2θ 33.7, intensity 7
2θ 35.8, intensity 25
2θ 37.7, intensity 100
2θ 47.9, intensity 7
2θ 49.5, intensity 16
2θ 58.9, intensity 17
2θ 65.6, intensity 17



Simulated powder XRD pattern
Compound: Mg6ZrFe
Radiation: Cu Ka
Structure: a crystal structure in the Materials Project, relaxed with GGA-PBE
Lines closer than 0.1° are merged.

Atomic structure:
Unit cell a=4.870 b=6.364 c=6.364 alpha=57.70 beta=90.00 gamma=90.00
Positions (direct):
Mg (0.000, 0.000, 0.000)
Mg (0.000, 0.000, 0.484)
Mg (0.000, 0.484, 0.000)
Mg (0.500, 0.344, 0.833)
Mg (0.500, 0.833, 0.344)
Mg (0.500, 0.840, 0.840)
Zr (0.000, 0.478, 0.478)
Fe (0.500, 0.358, 0.358)

Principal peaks in the range 5 to 70 degrees two-theta, in order of rising 2θ:
2θ 15.9, intensity 30
2θ 16.5, intensity 77
2θ 33.3, intensity 53
2θ 33.7, intensity 20
2θ 36.9, intensity 48
2θ 37.2, intensity 86
2θ 38.2, intensity 100
2θ 50.6, intensity 31
2θ 58.0, intensity 17
2θ 67.4, intensity 17



- What is the formula in the third record?
  Mg6ZrFe